Computed powder diffractogram
Compound: Ag5I4Cl
Radiation: Cu Kα, 1.54184 Å
Structure: a cell relaxed with PBE

Structural model:
```
data_Ag5I4Cl
_chemical_formula_sum 'Ag15 I12 Cl3'
_symmetry_space_group_name_H-M 'R 3 m'
_symmetry_Int_Tables_number 160
_symmetry_space_group_name_Hall 'R 3 -2"'
_cell_length_a 4.6107
_cell_length_b 4.6107
_cell_length_c 56.1842
_cell_angle_alpha 90.00
_cell_angle_beta 90.00
_cell_angle_gamma 120.00
loop_
_atom_site_label
_atom_site_type_symbol
_atom_site_fract_x
_atom_site_fract_y
_atom_site_fract_z
Ag1 Ag 0.0000 0.0000 0.0000
Ag2 Ag 0.0000 0.0000 0.1952
Ag3 Ag 0.0000 0.0000 0.4021
Ag4 Ag 0.0000 0.0000 0.5976
Ag5 Ag 0.0000 0.0000 0.7938
I1 I 0.0000 0.0000 0.1444
I2 I 0.0000 0.0000 0.3515
I3 I 0.0000 0.0000 0.5468
I4 I 0.0000 0.0000 0.9492
Cl1 Cl 0.0000 0.0000 0.7468
```

Most intense lines, 10° ≤ 2θ ≤ 90°, sorted by position:
| (hkl) | 2θ/deg | d_spacing | Rel. int. |
| --- | --- | --- | --- |
| 0 1 5 | 23.65 | 3.763 | 100 |
| 0 0 15 | 23.75 | 3.746 | 30 |
| 1 1 0 | 39.07 | 2.305 | 53 |
| 0 1 20 | 39.21 | 2.298 | 46 |
| 2 0 5 | 46.22 | 1.964 | 45 |
| 1 0 25 | 46.36 | 1.958 | 13 |
| 2 0 20 | 56.55 | 1.627 | 15 |
| 3 0 0 | 70.85 | 1.330 | 24 |